[1]
Starting from a crystal structure in the Materials Project, relaxed with PBE+U, the powder diffraction line list of Li4Cr3GaO8 was simulated for Cu Kα (λ = 1.5418 Å).

The 10 most intense peaks (2θ = 5–70°), sorted by position:
2θ (°), I (rel.), (hkl)
18.2, 100, 0 0 1
35.6, 28, 1 2 0
35.6, 14, 2 0 -1
37.2, 13, 2 0 0
43.1, 79, 1 2 1
47.2, 14, 1 2 -2
56.9, 14, 1 2 2
62.4, 21, 2 0 2
62.9, 14, 3 2 -1
66.1, 10, 3 2 0

a = 5.116 Å, b = 5.921 Å, c = 5.163 Å
α = 90.00°, β = 109.30°, γ = 90.00°
Element x y z (fractional)
Li 0.000 0.000 0.000
Li 0.000 0.500 0.000
Li 0.500 0.250 0.000
Li 0.500 0.750 0.000
Cr 0.000 0.249 0.500
Cr 0.000 0.751 0.500
Cr 0.500 0.500 0.500
Ga 0.500 0.000 0.500
O 0.241 0.500 0.726
O 0.244 0.000 0.726
O 0.259 0.249 0.274
O 0.259 0.751 0.274
O 0.741 0.249 0.726
O 0.741 0.751 0.726
O 0.756 0.000 0.274
O 0.759 0.500 0.274

***

[2]
Starting from a crystal structure in the Materials Project, relaxed with PBE+U, the powder diffraction line list of NdReMoO8 was simulated for Cu Kα (λ = 1.5418 Å).

The 10 most intense peaks (2θ = 5–70°), sorted by position:
2θ (°), I (rel.), (hkl)
21.0, 89, 1 1 1
22.9, 24, 1 2 -1
23.1, 50, 1 1 -3
23.3, 36, 0 1 3
23.5, 49, 1 2 0
24.4, 100, 1 2 -2
27.8, 32, 0 3 1
28.6, 52, 2 0 -2
28.8, 23, 0 0 4
30.5, 37, 1 2 2

a = 6.279 Å, b = 9.977 Å, c = 13.324 Å
α = 90.00°, β = 111.58°, γ = 90.00°
Element x y z (fractional)
Nd 0.176 0.238 0.375
Nd 0.176 0.262 0.875
Nd 0.824 0.738 0.125
Nd 0.824 0.762 0.625
Re 0.376 0.011 0.155
Re 0.376 0.489 0.655
Re 0.624 0.511 0.345
Re 0.624 0.989 0.845
Mo 0.158 0.664 0.920
Mo 0.158 0.836 0.420
Mo 0.842 0.164 0.580
Mo 0.842 0.336 0.080
O 0.039 0.178 0.512
O 0.039 0.322 0.012
O 0.076 0.720 0.309
O 0.076 0.780 0.809
O 0.156 0.002 0.369
O 0.156 0.498 0.869
O 0.161 0.601 0.653
O 0.161 0.899 0.153
O 0.303 0.079 0.025
O 0.303 0.421 0.525
O 0.361 0.074 0.809
O 0.361 0.426 0.309
O 0.401 0.138 0.249
O 0.401 0.362 0.749
O 0.440 0.704 0.013
O 0.440 0.796 0.513
O 0.560 0.204 0.487
O 0.560 0.296 0.987
O 0.599 0.638 0.251
O 0.599 0.862 0.751
O 0.639 0.574 0.691
O 0.639 0.926 0.191
O 0.697 0.579 0.475
O 0.697 0.921 0.975
O 0.839 0.101 0.847
O 0.839 0.399 0.347
O 0.844 0.502 0.131
O 0.844 0.998 0.631
O 0.924 0.220 0.191
O 0.924 0.280 0.691
O 0.961 0.678 0.988
O 0.961 0.822 0.488

***

[3]
Starting from a crystal structure in the Materials Project, relaxed with PBE+U, the powder diffraction line list of Mn3OF5 was simulated for Cu Kα (λ = 1.5418 Å).

The 10 most intense peaks (2θ = 5–70°), sorted by position:
2θ (°), I (rel.), (hkl)
25.9, 100, 1 -1 1
26.0, 96, 1 1 -1
32.9, 55, -1 1 2
33.1, 49, 0 0 3
38.0, 32, 1 2 1
50.1, 33, -2 2 1
50.5, 77, 1 -1 4
53.5, 18, 2 2 -2
56.1, 22, 0 2 4
64.3, 22, 3 1 2

a = 4.865 Å, b = 5.873 Å, c = 8.139 Å
α = 92.36°, β = 90.14°, γ = 90.51°
Element x y z (fractional)
Mn 0.000 0.000 0.000
Mn 0.001 0.325 0.315
Mn 0.450 0.476 0.993
Mn 0.480 0.163 0.669
Mn 0.493 0.817 0.338
Mn 0.994 0.630 0.679
O 0.186 0.286 0.093
O 0.297 0.433 0.773
F 0.176 0.620 0.436
F 0.185 0.934 0.765
F 0.283 0.786 0.103
F 0.291 0.119 0.438
F 0.661 0.513 0.217
F 0.684 0.861 0.579
F 0.694 0.178 0.889
F 0.774 0.684 0.910
F 0.790 0.354 0.551
F 0.795 0.019 0.235

***

[4]
Starting from a crystal structure in the Materials Project, relaxed with PBE+U, the powder diffraction line list of V3OF11 was simulated for Cu Kα (λ = 1.5418 Å).

The 10 most intense peaks (2θ = 5–70°), sorted by position:
2θ (°), I (rel.), (hkl)
18.5, 55, 0 0 3
25.3, 100, 1 1 1
32.9, 9, 2 0 -1
37.6, 8, 0 0 6
39.1, 11, 1 2 -2
48.0, 17, 2 2 -1
53.7, 9, 1 1 -8
54.3, 14, 3 1 0
55.8, 10, 1 3 1
62.7, 9, 2 2 -7

a = 5.442 Å, b = 5.275 Å, c = 14.596 Å
α = 90.00°, β = 100.45°, γ = 90.00°
Element x y z (fractional)
V 0.083 0.000 0.166
V 0.250 0.502 0.500
V 0.416 0.995 0.828
V 0.584 0.495 0.172
V 0.750 0.002 0.500
V 0.917 0.500 0.834
O 0.373 0.920 0.718
O 0.627 0.420 0.282
F 0.039 0.917 0.048
F 0.059 0.801 0.525
F 0.112 0.203 0.808
F 0.127 0.088 0.285
F 0.207 0.588 0.381
F 0.224 0.708 0.859
F 0.278 0.301 0.141
F 0.293 0.415 0.619
F 0.390 0.797 0.191
F 0.441 0.202 0.475
F 0.460 0.089 0.951
F 0.540 0.589 0.049
F 0.559 0.702 0.525
F 0.610 0.297 0.809
F 0.707 0.915 0.381
F 0.722 0.801 0.859
F 0.776 0.208 0.141
F 0.793 0.088 0.619
F 0.873 0.588 0.715
F 0.888 0.703 0.192
F 0.941 0.301 0.475
F 0.961 0.417 0.952